Record 1
# Gd4TiSe4O4
Calculated powder X-ray diffraction pattern, Cu Kα (weighted mean of Kα1 and Kα2). Input: a structure optimized by DFT (PBE).
Lines closer than 0.1° are merged.

Cell and atoms:
```
data_Gd4TiSe4O4
_chemical_formula_sum 'Gd8 Ti2 Se8 O8'
_symmetry_space_group_name_H-M 'C 1 2/m 1'
_symmetry_Int_Tables_number 12
_cell_length_a 15.9692
_cell_length_b 3.7773
_cell_length_c 9.7782
_cell_angle_alpha 90.00
_cell_angle_beta 117.92
_cell_angle_gamma 90.00
loop_
_symmetry_equiv_pos_as_xyz
'x,y,z'
'-x,-y,-z'
'-x,y,-z'
'x,-y,z'
'x+1/2,y+1/2,z'
'-x+1/2,-y+1/2,-z'
'-x+1/2,y+1/2,-z'
'x+1/2,-y+1/2,z'
loop_
_atom_site_label
_atom_site_fract_x
_atom_site_fract_y
_atom_site_fract_z
_atom_site_occupancy
Gd1 0.0248 0.0000 0.3306 1
Gd2 0.2236 0.5000 0.3259 1
Ti1 0.0000 0.5000 0.0000 1
Se1 0.1155 0.5000 0.6318 1
Se2 0.1215 0.0000 0.0161 1
O1 0.0516 0.5000 0.2206 1
O2 0.1829 0.0000 0.4099 1
```

Principal peaks in the range 2θ from 10° to 90°, by angle:
Position (°2θ)  I_rel  index
10.24  438  0 0 1
31.05  635  0 0 3
31.34  1000  3 1 -2
34.52  207  6 0 -1
34.95  743  3 1 1
48.18  235  0 2 0
58.44  209  0 2 3
60.08  246  3 1 4

***

Record 2
# Gd2SiTeO4
Calculated powder X-ray diffraction pattern, Cu Kα (weighted mean of Kα1 and Kα2). Input: a structure optimized by DFT (PBE).
Lines closer than 0.1° are merged.

Cell and atoms:
```
data_Gd2SiTeO4
_chemical_formula_sum 'Gd8 Si4 Te4 O16'
_symmetry_space_group_name_H-M 'P b c m'
_symmetry_Int_Tables_number 57
_cell_length_a 6.2357
_cell_length_b 7.1006
_cell_length_c 11.2026
_cell_angle_alpha 90.00
_cell_angle_beta 90.00
_cell_angle_gamma 90.00
loop_
_symmetry_equiv_pos_as_xyz
'x,y,z'
'-x,-y,-z'
'-x,-y,z+1/2'
'x,y,-z+1/2'
'x,-y+1/2,-z'
'-x,y+1/2,z'
'-x,y+1/2,-z+1/2'
'x,-y+1/2,z+1/2'
loop_
_atom_site_label
_atom_site_fract_x
_atom_site_fract_y
_atom_site_fract_z
_atom_site_occupancy
Gd1 0.1112 0.0333 0.2500 1
Gd2 0.3880 0.7500 0.0000 1
Si1 0.1147 0.2500 0.0000 1
Te1 0.4085 0.0922 0.7500 1
O1 0.0501 0.7351 0.6168 1
O2 0.2732 0.0725 0.0335 1
```

Principal peaks in the range 2θ from 10° to 90°, by angle:
Position (°2θ)  I_rel  index
24.77  386  1 1 2
29.79  1000  0 2 2
30.04  291  1 2 1
31.96  659  0 0 4
32.36  739  2 1 1
35.29  418  2 1 2
39.74  436  2 1 3
59.12  315  3 3 0